# LiAcIn
Calculated powder XRD pattern, copper Kα. Input: a DFT-relaxed cell (PBE, Alexandria).
Peak positions follow from Bragg's law for the DFT cell and can differ from measured ones.

```
data_LiAcIn
_chemical_formula_sum 'Li1 Ac1 In1'
_space_group_name_H-M_alt 'P 1'
_space_group_IT_number 1
_cell_length_a 5.1923
_cell_length_b 5.1923
_cell_length_c 3.8229
_cell_angle_alpha 90.00
_cell_angle_beta 90.00
_cell_angle_gamma 120.00
loop_
_space_group_symop_operation_xyz
'x,y,z'
loop_
_atom_site_label
_atom_site_type_symbol
_atom_site_fract_x
_atom_site_fract_y
_atom_site_fract_z
Li1 Li 0.0000 0.0000 0.0000
Ac1 Ac 0.6667 0.3333 0.5000
In1 In 0.3333 0.6667 0.0000
```

Principal peaks in the range 10° ≤ 2θ ≤ 90°, low angle first:
- 19.74 deg, I = 567, hkl 1 0 0
- 30.70 deg, I = 1000, hkl 1 0 1
- 34.55 deg, I = 486, hkl 1 1 0
- 46.88 deg, I = 314, hkl 2 0 1
- 59.52 deg, I = 310, hkl 2 1 1
- 60.11 deg, I = 198, hkl 1 1 2